(1)
Starting from a cell relaxed with PBE+U, the powder XRD pattern of Li3TiCo3O8 was computed for CuKα.
Intensities are scaled so that the largest is 100.

Most intense lines, 10 to 80 degrees two-theta, sorted by position:
19.38 deg, d = 4.580 Å, I 81, hkl 0 0 2; 20.35 deg, d = 4.364 Å, I 100, hkl 1 0 1; 37.00 deg, d = 2.429 Å, I 42, hkl 1 1 2; 37.55 deg, d = 2.396 Å, I 72, hkl 2 0 1; 41.38 deg, d = 2.182 Å, I 46, hkl 2 0 2; 47.19 deg, d = 1.926 Å, I 82, hkl 2 0 3; 63.07 deg, d = 1.474 Å, I 47, hkl 2 0 5; 65.09 deg, d = 1.433 Å, I 47, hkl 2 2 0

Lattice parameters (Å, degrees): 5.7318 5.7318 9.1605 90.00 90.00 120.00
Space group P6_3mc (No. 186)
Symmetry-distinct sites (fractional):
Li 0.1717 0.3434 0.0000 (multiplicity 6)
Ti 0.3333 0.6667 0.4418 (multiplicity 2)
Co 0.1689 0.3378 0.7281 (multiplicity 6)
O 0.0000 0.0000 0.1246 (multiplicity 2)
O 0.0372 0.5186 0.6051 (multiplicity 6)
O 0.1625 0.3251 0.3490 (multiplicity 6)
O 0.3333 0.6667 0.8377 (multiplicity 2)

---

(2)
Starting from a cell relaxed with PBE+U, the powder XRD pattern of Li2MnCu3O8 was computed for CuKα.
Intensities are scaled so that the largest is 100.

Most intense lines, 10 to 80 degrees two-theta, sorted by position:
18.53 deg, d = 4.788 Å, I 100, hkl 0 0 3; 35.88 deg, d = 2.503 Å, I 37, hkl 0 2 1; 35.99 deg, d = 2.495 Å, I 13, hkl 0 1 5; 37.53 deg, d = 2.397 Å, I 12, hkl 2 0 2; 43.66 deg, d = 2.073 Å, I 54, hkl 0 2 4; 57.74 deg, d = 1.597 Å, I 15, hkl 1 2 5; 63.34 deg, d = 1.468 Å, I 16, hkl 2 2 0; 63.56 deg, d = 1.464 Å, I 16, hkl 2 0 8

Lattice parameters (Å, degrees): 5.8736 5.8736 14.3184 90.00 90.00 120.00
Space group R-3m (No. 166, hexagonal axes)
Symmetry-distinct sites (fractional):
Li 0.0000 0.0000 0.1279 (multiplicity 6)
Mn 0.0000 0.0000 0.5000 (multiplicity 3)
Cu 0.0000 0.5000 0.0000 (multiplicity 9)
O 0.0000 0.0000 0.2676 (multiplicity 6)
O 0.0363 0.5181 0.2485 (multiplicity 18)

---

(3)
Starting from a cell relaxed with PBE+U, the powder XRD pattern of La9Mn10O30 was computed for CuKα.
Intensities are scaled so that the largest is 100.

Most intense lines, 10 to 80 degrees two-theta, sorted by position:
32.07 deg, d = 2.791 Å, I 99, hkl 2 0 -1; 32.40 deg, d = 2.763 Å, I 100, hkl 2 3 0; 39.62 deg, d = 2.275 Å, I 25, hkl 2 0 4; 46.20 deg, d = 1.965 Å, I 22, hkl 4 2 2; 46.26 deg, d = 1.963 Å, I 43, hkl 0 2 4; 57.17 deg, d = 1.611 Å, I 22, hkl 4 -1 1; 57.38 deg, d = 1.606 Å, I 40, hkl 4 1 5; 58.01 deg, d = 1.590 Å, I 19, hkl 4 5 3

Lattice parameters (Å, degrees): 7.8605 9.5380 9.6332 81.00 66.18 66.44
Space group P1 (No. 1)
Symmetry-distinct sites (fractional):
La 0.0000 0.0000 0.0000 (multiplicity 1)
La 0.0885 0.6107 0.2088 (multiplicity 1)
La 0.1928 0.2004 0.4149 (multiplicity 1)
La 0.3925 0.4186 0.8033 (multiplicity 1)
La 0.4914 0.0098 0.0066 (multiplicity 1)
La 0.5866 0.6140 0.2176 (multiplicity 1)
La 0.6967 0.2054 0.4103 (multiplicity 1)
La 0.7939 0.8081 0.6068 (multiplicity 1)
La 0.8956 0.4076 0.8088 (multiplicity 1)
Mn 0.0433 0.3071 0.1084 (multiplicity 1)
Mn 0.1435 0.9073 0.3119 (multiplicity 1)
Mn 0.2433 0.5105 0.5089 (multiplicity 1)
Mn 0.3440 0.1049 0.7073 (multiplicity 1)
Mn 0.4419 0.7098 0.9069 (multiplicity 1)
Mn 0.5431 0.3079 0.1090 (multiplicity 1)
Mn 0.6408 0.9075 0.3108 (multiplicity 1)
Mn 0.7393 0.5118 0.5086 (multiplicity 1)
Mn 0.8463 0.1065 0.7073 (multiplicity 1)
Mn 0.9459 0.7085 0.9051 (multiplicity 1)
O 0.0049 0.0007 0.5125 (multiplicity 1)
O 0.0065 0.5148 0.4746 (multiplicity 1)
O 0.0393 0.4950 0.9850 (multiplicity 1)
O 0.0435 0.6206 0.7035 (multiplicity 1)
O 0.0502 0.1180 0.2280 (multiplicity 1)
O 0.0690 0.1148 0.7481 (multiplicity 1)
O 0.1974 0.7129 0.8954 (multiplicity 1)
O 0.2265 0.1870 0.9197 (multiplicity 1)
O 0.2318 0.6904 0.3724 (multiplicity 1)
O 0.2490 0.3201 0.6309 (multiplicity 1)
O 0.2618 0.8336 0.0951 (multiplicity 1)
O 0.2801 0.2946 0.1482 (multiplicity 1)
O 0.4051 0.9221 0.2715 (multiplicity 1)
O 0.4309 0.3817 0.3186 (multiplicity 1)
O 0.4475 0.5187 0.0339 (multiplicity 1)
O 0.4485 0.9014 0.7966 (multiplicity 1)
O 0.4741 0.0431 0.4891 (multiplicity 1)
O 0.4949 0.4801 0.5348 (multiplicity 1)
O 0.6023 0.1219 0.6774 (multiplicity 1)
O 0.6302 0.5829 0.7232 (multiplicity 1)
O 0.6452 0.0955 0.1791 (multiplicity 1)
O 0.6496 0.2346 0.8982 (multiplicity 1)
O 0.6764 0.7124 0.4162 (multiplicity 1)
O 0.6790 0.6962 0.9486 (multiplicity 1)
O 0.8042 0.3194 0.0736 (multiplicity 1)
O 0.8235 0.7878 0.1183 (multiplicity 1)
O 0.8385 0.2983 0.5887 (multiplicity 1)
O 0.8416 0.9222 0.8338 (multiplicity 1)
O 0.8593 0.4292 0.2961 (multiplicity 1)
O 0.8844 0.8954 0.3389 (multiplicity 1)

---

(4)
Starting from a cell relaxed with PBE+U, the powder XRD pattern of WF5 was computed for CuKα.
Intensities are scaled so that the largest is 100.

Most intense lines, 10 to 80 degrees two-theta, sorted by position:
16.91 deg, d = 5.242 Å, I 42, hkl 1 0 0; 17.71 deg, d = 5.007 Å, I 70, hkl 0 2 0; 19.11 deg, d = 4.644 Å, I 54, hkl 1 1 0; 24.59 deg, d = 3.621 Å, I 34, hkl 1 2 0; 25.53 deg, d = 3.489 Å, I 100, hkl 0 1 2; 35.40 deg, d = 2.536 Å, I 16, hkl 2 1 0; 36.14 deg, d = 2.485 Å, I 20, hkl 0 3 2; 43.92 deg, d = 2.062 Å, I 24, hkl 2 3 0

Lattice parameters (Å, degrees): 5.6132 10.0145 7.9645 90.00 110.95 90.00
Space group P2_1/c (No. 14)
Symmetry-distinct sites (fractional):
W 0.1187 0.2485 0.4031 (multiplicity 4)
F 0.1170 0.1972 0.6534 (multiplicity 4)
F 0.1167 0.6101 0.2010 (multiplicity 4)
F 0.1672 0.6368 0.6289 (multiplicity 4)
F 0.3578 0.1170 0.0123 (multiplicity 4)
F 0.4016 0.1323 0.4325 (multiplicity 4)